For Ba4Ta10NiO30, a GGA+U-relaxed structure gives the computed powder XRD pattern in this record (Cu Kα (λ = 1.5418 Å)).

Atomic structure:
```
data_Ba4Ta10NiO30
_chemical_formula_sum 'Ba8 Ta20 Ni2 O60'
_cell_length_a 7.873
_cell_length_b 10.324
_cell_length_c 15.321
_cell_angle_alpha 90.00
_cell_angle_beta 90.00
_cell_angle_gamma 90.00
_space_group_name_H-M_alt 'I m m 2'
_space_group_IT_number 44
_space_group_name_Hall 'I 2 -2'
loop_
_atom_site_label
_atom_site_type_symbol
_atom_site_fract_x
_atom_site_fract_y
_atom_site_fract_z
_atom_site_occupancy
Ba1 Ba 0.000 0.000 0.000 1
Ba2 Ba 0.000 0.000 0.405 1
Ba3 Ba 0.000 0.500 0.509 1
Ba4 Ba 0.000 0.500 0.918 1
Ta1 Ta 0.248 0.186 0.581 1
Ta2 Ta 0.249 0.000 0.210 1
Ta3 Ta 0.249 0.317 0.333 1
Ni1 Ni 0.000 0.500 0.181 1
O1 O 0.000 0.000 0.227 1
O2 O 0.000 0.167 0.838 1
O3 O 0.000 0.202 0.588 1
O4 O 0.000 0.303 0.358 1
O5 O 0.000 0.360 0.080 1
O6 O 0.000 0.500 0.694 1
O7 O 0.211 0.365 0.213 1
O8 O 0.217 0.000 0.544 1
O9 O 0.224 0.131 0.117 1
O10 O 0.232 0.253 0.963 1
O11 O 0.233 0.370 0.806 1
O12 O 0.238 0.500 0.382 1
```

Peak list (10 most intense, 10° ≤ 2θ ≤ 80°, low angle first)
(2 0 0), 2θ = 22.59°, d 3.937, rel. 651; (0 3 1), 2θ = 26.55°, d 3.358, rel. 1000; (2 2 0), 2θ = 28.52°, d 3.130, rel. 564; (0 2 4), 2θ = 29.03°, d 3.076, rel. 971; (2 1 3), 2θ = 29.94°, d 2.985, rel. 947; (2 0 4), 2θ = 32.62°, d 2.745, rel. 429; (2 3 1), 2θ = 35.13°, d 2.554, rel. 536; (4 0 0), 2θ = 46.12°, d 1.968, rel. 417; (0 6 0), 2θ = 53.21°, d 1.722, rel. 917; (2 3 7), 2θ = 54.91°, d 1.672, rel. 419